Structure and computed XRD peak list of Sr2LaMn2O7 (a PBE+U-relaxed structure; Cu Kα).

Cell and atoms:
```
Sr2LaMn2O7
1.0
-1.965 1.965 10.061
1.965 -1.965 10.061
1.965 1.965 -10.061
Sr La Mn O
2 1 2 7
direct
0.183 0.183 0.000
0.817 0.817 0.000
0.000 0.000 0.000
0.402 0.402 0.000
0.598 0.598 0.000
0.092 0.592 0.500
0.306 0.306 0.000
0.408 0.908 0.500
0.500 0.500 0.000
0.592 0.092 0.500
0.694 0.694 0.000
0.908 0.408 0.500
```

Peak list (6 most intense, 2θ from 10° to 80°, low angle first)
2θ/deg  I/Imax
31.8  100
32.2  66
42.2  28
46.2  40
56.5  16
57.2  38

=====

Structure and computed XRD peak list of Sr3LaTi2Mn2O12 (a PBE+U-relaxed structure; Cu Kα).

Cell and atoms:
```
Sr3LaTi2Mn2O12
1.0
5.585 0.000 0.000
-0.084 9.564 0.000
-0.109 -3.089 9.063
Sr La Ti Mn O
6 2 4 4 24
direct
0.000 0.000 0.000
0.001 0.747 0.249
0.003 0.493 0.498
0.500 0.000 0.500
0.502 0.747 0.749
0.503 0.493 0.998
0.002 0.247 0.749
0.501 0.247 0.249
0.000 0.872 0.624
0.002 0.621 0.874
0.501 0.872 0.124
0.502 0.621 0.374
0.000 0.122 0.373
0.002 0.371 0.125
0.501 0.122 0.873
0.502 0.371 0.625
0.001 0.747 0.749
0.002 0.247 0.249
0.004 0.001 0.498
0.238 0.492 0.754
0.251 0.003 0.748
0.251 0.247 0.999
0.251 0.747 0.999
0.252 0.247 0.499
0.252 0.490 0.250
0.252 0.747 0.499
0.266 0.001 0.244
0.499 0.492 0.500
0.501 0.247 0.749
0.502 0.747 0.249
0.504 0.001 0.998
0.739 0.493 0.254
0.751 0.247 0.499
0.751 0.490 0.750
0.751 0.747 0.499
0.752 0.003 0.248
0.752 0.247 0.999
0.752 0.747 0.999
0.765 0.000 0.744
0.999 0.492 0.000
```

Peak list (6 most intense, 2θ from 10° to 80°, low angle first)
2θ/deg  I/Imax
32.1  100
32.2  33
32.5  65
39.8  29
45.6  26
46.5  25

=====

Structure and computed XRD peak list of Sr3LaTi2Mn2O12 (a PBE+U-relaxed structure; Cu Kα).

Cell and atoms:
```
Sr3LaTi2Mn2O12
1.0
5.510 0.000 0.000
2.739 4.850 0.000
2.710 1.442 9.056
Sr La Ti Mn O
3 1 2 2 12
direct
0.000 0.000 0.000
0.249 0.249 0.255
0.499 0.498 0.508
0.751 0.749 0.751
0.626 0.623 0.126
0.875 0.875 0.377
0.124 0.127 0.630
0.374 0.373 0.879
0.000 0.489 0.003
0.242 0.767 0.752
0.247 0.255 0.753
0.250 0.742 0.258
0.497 0.002 0.512
0.501 0.487 0.004
0.514 0.968 0.001
0.750 0.741 0.258
0.751 0.254 0.754
0.752 0.238 0.256
0.989 0.512 0.514
0.995 0.003 0.511
```

Peak list (6 most intense, 2θ from 10° to 80°, low angle first)
2θ/deg  I/Imax
32.1  100
32.2  33
32.5  64
39.8  28
45.5  26
46.5  24

=====

Structure and computed XRD peak list of Sr3La7Ti3Mn7O30 (a PBE+U-relaxed structure; Cu Kα).

Cell and atoms:
```
Sr3La7Ti3Mn7O30
1.0
5.580 0.000 0.000
-0.110 7.934 0.000
-2.724 -3.950 14.039
Sr La Ti Mn O
3 7 3 7 30
direct
0.000 0.000 0.000
0.002 0.506 0.000
0.400 0.405 0.797
0.198 0.702 0.398
0.200 0.204 0.401
0.398 0.899 0.798
0.599 0.100 0.200
0.601 0.606 0.200
0.799 0.802 0.601
0.800 0.306 0.600
0.497 0.752 0.997
0.504 0.253 0.001
0.903 0.154 0.802
0.098 0.354 0.199
0.102 0.852 0.200
0.298 0.054 0.599
0.299 0.552 0.598
0.699 0.453 0.399
0.700 0.953 0.400
0.897 0.653 0.800
0.026 0.464 0.485
0.066 0.626 0.686
0.091 0.594 0.181
0.113 0.116 0.226
0.134 0.069 0.711
0.184 0.230 0.908
0.228 0.679 0.892
0.282 0.826 0.092
0.285 0.788 0.572
0.308 0.313 0.618
0.346 0.278 0.110
0.376 0.440 0.314
0.426 0.865 0.288
0.459 0.027 0.487
0.488 0.992 0.977
0.511 0.513 0.023
0.542 0.477 0.512
0.575 0.643 0.707
0.630 0.062 0.687
0.668 0.217 0.888
0.686 0.190 0.374
0.712 0.716 0.425
0.723 0.687 0.914
0.769 0.837 0.114
0.808 0.268 0.088
0.859 0.429 0.289
0.888 0.379 0.773
0.905 0.920 0.818
0.940 0.878 0.312
0.973 0.042 0.512
```

Peak list (6 most intense, 2θ from 10° to 80°, low angle first)
2θ/deg  I/Imax
22.4  25
31.8  65
31.9  32
32.1  100
45.8  43
56.8  28

=====

Structure and computed XRD peak list of Sr3LaTi2Mn2O12 (a PBE+U-relaxed structure; Cu Kα).

Cell and atoms:
```
Sr3LaTi2Mn2O12
1.0
2.778 1.604 9.047
-2.778 1.604 9.047
0.000 -3.208 9.047
Sr La Ti Mn O
3 1 2 2 12
direct
0.000 0.000 0.000
0.249 0.249 0.249
0.751 0.751 0.751
0.500 0.500 0.500
0.375 0.375 0.375
0.625 0.625 0.625
0.125 0.125 0.125
0.875 0.875 0.875
0.000 0.000 0.500
0.000 0.500 0.000
0.000 0.500 0.500
0.254 0.254 0.746
0.254 0.746 0.254
0.254 0.746 0.746
0.500 0.000 0.000
0.500 0.000 0.500
0.500 0.500 0.000
0.746 0.254 0.254
0.746 0.254 0.746
0.746 0.746 0.254
```

Peak list (6 most intense, 2θ from 10° to 80°, low angle first)
2θ/deg  I/Imax
32.3  100
39.7  14
46.3  38
57.5  28
67.4  11
67.6  11

=====

Structure and computed XRD peak list of Sr5La3Mn4W4O24 (a PBE+U-relaxed structure; Cu Kα).

Cell and atoms:
```
Sr5La3Mn4W4O24
1.0
8.174 0.000 0.000
-0.025 8.205 0.000
-4.056 -4.072 8.116
Sr La Mn W O
5 3 4 4 24
direct
0.000 0.000 0.000
0.016 0.490 0.996
0.234 0.737 0.500
0.504 0.504 0.998
0.735 0.235 0.504
0.245 0.218 0.504
0.525 0.986 0.000
0.751 0.724 0.505
0.125 0.114 0.753
0.374 0.862 0.250
0.624 0.610 0.750
0.876 0.366 0.250
0.126 0.614 0.750
0.375 0.364 0.251
0.625 0.113 0.752
0.872 0.864 0.250
0.065 0.453 0.515
0.075 0.830 0.696
0.119 0.353 0.204
0.144 0.888 0.304
0.167 0.390 0.788
0.196 0.769 0.982
0.309 0.192 0.021
0.357 0.071 0.693
0.368 0.571 0.201
0.379 0.157 0.304
0.396 0.670 0.806
0.455 0.530 0.483
0.558 0.944 0.512
0.570 0.326 0.694
0.603 0.861 0.198
0.635 0.379 0.302
0.659 0.894 0.800
0.695 0.270 0.988
0.798 0.699 0.019
0.854 0.573 0.692
0.856 0.081 0.196
0.876 0.651 0.308
0.887 0.156 0.801
0.956 0.031 0.483
```

Peak list (6 most intense, 2θ from 10° to 80°, low angle first)
2θ/deg  I/Imax
18.8  71
30.9  93
31.0  100
31.1  99
55.0  43
55.2  30